Diffraction record for CsSr3. The powder X-ray diffraction pattern is calculated, not measured: it uses the PBE geometry in the Materials Project and Cu Kα X-rays.
Kinematic intensities with the Lorentz-polarization factor, no thermal factor.

Cell and atoms:
```
data_CsSr3
_chemical_formula_sum 'Cs2 Sr6'
_symmetry_space_group_name_H-M 'I 4/m m m'
_symmetry_Int_Tables_number 139
_symmetry_space_group_name_Hall '-I 4 2'
_cell_length_a 6.369
_cell_length_b 6.369
_cell_length_c 12.438
_cell_angle_alpha 90.00
_cell_angle_beta 90.00
_cell_angle_gamma 90.00
loop_
_atom_site_label
_atom_site_type_symbol
_atom_site_fract_x
_atom_site_fract_y
_atom_site_fract_z
_atom_site_occupancy
Cs1 Cs 0.000 0.000 0.000 1
Sr1 Sr 0.000 0.000 0.500 1
Sr2 Sr 0.000 0.500 0.250 1
```

Top 10 peaks for 2θ from 10° to 80°, by angle:
Position (°2θ), Rel. int., h k l
24.40, 100.0, 1 1 2
28.02, 35.3, 2 0 0
28.71, 16.6, 0 0 4
40.04, 13.4, 2 2 0
40.55, 25.8, 2 0 4
47.45, 32.6, 3 1 2
48.33, 15.4, 1 1 6
50.01, 13.9, 2 2 4
64.51, 13.0, 3 1 6
73.08, 9.0, 4 2 4